Simulated X-ray diffraction stick pattern
Compound: Ca6Zn5Ag
Radiation: Cu Kα
Structure: a DFT-relaxed cell (PBE, Alexandria)
Peak positions follow from Bragg's law for the DFT cell and can differ from measured ones.

Principal peaks in the range 5 to 70 degrees two-theta, in order of falling intensity:
(hkl)  2θ/deg  I (rel.)
1 2 1  34.56  100
2 0 -1  34.07  26
0 0 3  34.19  26
2 0 2  49.04  18
3 2 0  61.30  17
1 2 4  61.45  17

Cell and atoms:
Unit cell a=5.263 b=7.256 c=8.292 alpha=90.00 beta=108.44 gamma=90.00
Sites, in units of the cell vectors:
1 Ca 0.000 0.249 0.000
2 Ca 0.000 0.751 0.000
3 Ca 0.333 0.249 0.666
4 Ca 0.333 0.751 0.666
5 Ca 0.667 0.249 0.334
6 Ca 0.667 0.751 0.334
7 Zn 0.166 0.000 0.331
8 Zn 0.168 0.500 0.337
9 Zn 0.500 0.000 0.000
10 Zn 0.832 0.500 0.663
11 Zn 0.834 0.000 0.669
12 Ag 0.500 0.500 0.000